Simulated powder X-ray diffraction pattern
Compound: AcFe2TeO6
Radiation: Cu Kα
Structure: the GGA+U geometry in Alexandria
No peak broadening, texture or thermal motion is included.

Largest 10 diffraction maxima, by angle, 2θ = 5–70°:
2θ = 19.0°, rel. 12, (1 0 1)
2θ = 21.7°, rel. 47, (0 0 2)
2θ = 30.4°, rel. 21, (0 2 0)
2θ = 30.9°, rel. 100, (1 1 2)
2θ = 31.4°, rel. 22, (2 0 0)
2θ = 37.7°, rel. 11, (0 2 2)
2θ = 44.3°, rel. 32, (2 2 0)
2θ = 49.9°, rel. 18, (1 1 4)
2θ = 54.4°, rel. 24, (1 3 2)
2θ = 55.6°, rel. 22, (3 1 2)

Crystal structure
```
data_AcFe2TeO6
_chemical_formula_sum 'Ac2 Fe4 Te2 O12'
_symmetry_space_group_name_H-M 'P 1'
_symmetry_Int_Tables_number 1
_symmetry_space_group_name_Hall 'P 1'
_cell_length_a 5.6926
_cell_length_b 5.8749
_cell_length_c 8.1811
_cell_angle_alpha 90.00
_cell_angle_beta 90.00
_cell_angle_gamma 90.00
loop_
_atom_site_label
_atom_site_fract_x
_atom_site_fract_y
_atom_site_fract_z
_atom_site_occupancy
Ac1 0.0000 0.0000 0.0000 1
Ac2 0.5000 0.5000 0.5000 1
Fe1 0.0000 0.5000 0.2108 1
Fe2 0.0000 0.5000 0.7892 1
Fe3 0.5000 0.0000 0.2892 1
Fe4 0.5000 0.0000 0.7108 1
Te1 0.0000 0.0000 0.5000 1
Te2 0.5000 0.5000 0.0000 1
O1 0.1528 0.2192 0.3235 1
O2 0.1528 0.2192 0.6765 1
O3 0.1797 0.3542 0.0000 1
O4 0.3203 0.8542 0.5000 1
O5 0.3472 0.7192 0.1765 1
O6 0.3472 0.7192 0.8235 1
O7 0.6528 0.2808 0.1765 1
O8 0.6528 0.2808 0.8235 1
O9 0.6797 0.1458 0.5000 1
O10 0.8203 0.6458 0.0000 1
O11 0.8472 0.7808 0.3235 1
O12 0.8472 0.7808 0.6765 1
```